Simulated powder diffraction line list
Compound: Pm2Dy3Hg4
Radiation: Cu Ka
Structure: a GGA-PBE-relaxed structure
Kinematic intensities with the Lorentz-polarization factor, no thermal factor.

Crystal structure
Lattice parameters (Å, degrees): 6.997 17.917 8.170 90.00 90.00 90.00
Space group Cmce (No. 64)
Unique sites:
1 Pm 0.000 0.095 0.089 (multiplicity 8)
2 Dy 0.000 0.000 0.500 (multiplicity 4)
3 Dy 0.250 0.239 0.750 (multiplicity 8)
4 Hg 0.000 0.168 0.470 (multiplicity 8)
5 Hg 0.250 0.066 0.750 (multiplicity 8)

Most intense lines, 2θ = 15–90°, by angle:
2θ/deg, intensity, h k l
29.5, 556, 2 2 1
30.1, 533, 1 5 1
33.7, 1000, 2 0 2
34.4, 436, 0 2 3
37.3, 421, 0 6 2
61.0, 290, 2 6 4


Simulated powder diffraction line list
Compound: MnSiS3
Radiation: Cu Ka
Structure: a GGA-PBE-relaxed structure
Kinematic intensities with the Lorentz-polarization factor, no thermal factor.

Crystal structure
Lattice parameters (Å, degrees): 12.489 3.477 10.552 90.00 92.97 90.00
Space group C2/m (No. 12)
Unique sites:
1 Mn 0.146 0.000 0.406 (multiplicity 4)
2 Si 0.080 0.500 0.764 (multiplicity 4)
3 S 0.089 0.500 0.254 (multiplicity 4)
4 S 0.137 0.000 0.874 (multiplicity 4)
5 S 0.154 0.500 0.583 (multiplicity 4)

Most intense lines, 2θ = 15–90°, by angle:
2θ/deg, intensity, h k l
21.5, 759, 2 0 -2
28.6, 642, 4 0 0
31.9, 1000, 1 1 2
43.4, 432, 1 1 -4
46.1, 177, 6 0 -2
48.8, 396, 5 1 2


Simulated powder diffraction line list
Compound: Li4LaSb3O12
Radiation: Cu Ka
Structure: a GGA-PBE-relaxed structure
Kinematic intensities with the Lorentz-polarization factor, no thermal factor.

Crystal structure
Lattice parameters (Å, degrees): 11.0487 11.0487 7.3417 90.00 90.00 120.00
Space group R32 (No. 155, hexagonal axes)
Unique sites:
1 Li 0.0000 0.0000 0.0000 (multiplicity 3)
2 Li 0.0000 0.4285 0.0000 (multiplicity 9)
3 La 0.0000 0.0000 0.5000 (multiplicity 3)
4 Sb 0.0000 0.5614 0.5000 (multiplicity 9)
5 O 0.0000 0.5987 0.0000 (multiplicity 9)
6 O 0.0000 0.8311 0.0000 (multiplicity 9)
7 O 0.0640 0.2170 0.6806 (multiplicity 18)

Most intense lines, 2θ = 15–90°, by angle:
2θ/deg, intensity, h k l
16.0, 461, 1 1 0
22.2, 1000, 0 2 1
27.5, 221, 2 1 1
30.7, 523, 2 0 2
32.4, 180, 2 2 0
42.0, 294, 3 1 2


Simulated powder diffraction line list
Compound: K4Zr3NiS8
Radiation: Cu Ka
Structure: a GGA-PBE-relaxed structure
Kinematic intensities with the Lorentz-polarization factor, no thermal factor.

Crystal structure
Lattice parameters (Å, degrees): 7.5636 7.5636 22.0125 90.00 90.00 120.00
Space group R-3m (No. 166, hexagonal axes)
Unique sites:
1 K 0.0000 0.0000 0.0000 (multiplicity 3)
2 K 0.0000 0.5000 0.0000 (multiplicity 9)
3 Zr 0.0000 0.5000 0.5000 (multiplicity 9)
4 Ni 0.0000 0.0000 0.5000 (multiplicity 3)
5 S 0.0000 0.0000 0.2337 (multiplicity 6)
6 S 0.0048 0.5024 0.2304 (multiplicity 18)

Most intense lines, 2θ = 15–90°, by angle:
2θ/deg, intensity, h k l
28.4, 147, 2 0 2
31.8, 1000, 0 2 4
39.7, 135, 0 2 7
42.9, 326, 2 0 8
48.1, 307, 2 2 0
58.8, 150, 4 0 4


Simulated powder diffraction line list
Compound: Tm3GaHg2
Radiation: Cu Ka
Structure: a GGA-PBE-relaxed structure
Kinematic intensities with the Lorentz-polarization factor, no thermal factor.

Crystal structure
Lattice parameters (Å, degrees): 3.634 3.634 10.844 90.00 90.00 90.00
Space group P4/mmm (No. 123)
Unique sites:
1 Tm 0.000 0.000 0.000 (multiplicity 1)
2 Tm 0.000 0.000 0.343 (multiplicity 2)
3 Ga 0.500 0.500 0.500 (multiplicity 1)
4 Hg 0.500 0.500 0.170 (multiplicity 2)

Most intense lines, 2θ = 15–90°, by angle:
2θ/deg, intensity, h k l
35.0, 1000, 1 1 0
50.2, 122, 2 0 0
62.7, 248, 2 1 3
62.9, 118, 1 1 6
74.0, 74, 2 0 6
84.3, 112, 3 1 0


Simulated powder diffraction line list
Compound: SrHfS3
Radiation: Cu Ka
Structure: a GGA-PBE-relaxed structure
Kinematic intensities with the Lorentz-polarization factor, no thermal factor.

Crystal structure
Lattice parameters (Å, degrees): 19.098 3.848 8.006 90.00 107.39 90.00
Space group Cm (No. 8)
Unique sites:
1 Sr 0.000 0.000 0.000 (multiplicity 2)
2 Sr 0.224 0.000 0.929 (multiplicity 2)
3 Hf 0.053 0.500 0.593 (multiplicity 2)
4 Hf 0.377 0.500 0.291 (multiplicity 2)
5 S 0.103 0.500 0.924 (multiplicity 2)
6 S 0.132 0.000 0.553 (multiplicity 2)
7 S 0.299 0.000 0.322 (multiplicity 2)
8 S 0.342 0.500 0.969 (multiplicity 2)
9 S 0.460 0.500 0.614 (multiplicity 2)
10 S 0.476 0.000 0.268 (multiplicity 2)

Most intense lines, 2θ = 15–90°, by angle:
2θ/deg, intensity, h k l
25.6, 505, 4 0 1
27.0, 409, 1 1 1
27.4, 732, 3 1 0
27.9, 429, 2 0 2
33.3, 1000, 5 1 -1
45.7, 402, 5 1 2


Simulated powder diffraction line list
Compound: Tb2SmRu9
Radiation: Cu Ka
Structure: a GGA-PBE-relaxed structure
Kinematic intensities with the Lorentz-polarization factor, no thermal factor.

Crystal structure
Lattice parameters (Å, degrees): 5.2884 5.2884 26.1943 90.00 90.00 120.00
Space group R-3m (No. 166, hexagonal axes)
Unique sites:
1 Tb 0.0000 0.0000 0.1398 (multiplicity 6)
2 Sm 0.0000 0.0000 0.0000 (multiplicity 3)
3 Ru 0.0000 0.0000 0.3379 (multiplicity 6)
4 Ru 0.0000 0.0000 0.5000 (multiplicity 3)
5 Ru 0.0098 0.5049 0.9172 (multiplicity 18)

Most intense lines, 2θ = 15–90°, by angle:
2θ/deg, intensity, h k l
33.6, 359, 0 1 8
33.9, 371, 1 1 0
39.5, 341, 0 2 1
39.9, 1000, 1 1 6
43.1, 252, 2 0 5
71.3, 246, 2 2 0


Simulated powder diffraction line list
Compound: TlHgPt
Radiation: Cu Ka
Structure: a GGA-PBE-relaxed structure
Kinematic intensities with the Lorentz-polarization factor, no thermal factor.

Crystal structure
Lattice parameters (Å, degrees): 5.644 9.888 19.115 90.00 90.00 90.00
Space group Fddd (No. 70, origin choice 2)
Unique sites:
1 Tl 0.125 0.290 0.125 (multiplicity 16)
2 Hg 0.125 0.125 0.542 (multiplicity 16)
3 Pt 0.125 0.125 0.252 (multiplicity 16)

Most intense lines, 2θ = 15–90°, by angle:
2θ/deg, intensity, h k l
33.1, 533, 2 0 2
33.5, 481, 0 2 6
34.5, 629, 1 3 3
37.7, 942, 1 1 7
41.1, 533, 0 4 4
41.4, 1000, 2 2 4